The following is a computed XRD peak list of Er2Co5Si2B. It was derived from a cell relaxed with GGA-PBE, using copper Kα.

Crystal structure
```
data_Er2Co5Si2B
_chemical_formula_sum 'Er4 Co10 Si4 B2'
_cell_length_a 9.5806
_cell_length_b 9.5806
_cell_length_c 2.8019
_cell_angle_alpha 90.00
_cell_angle_beta 90.00
_cell_angle_gamma 90.00
_symmetry_space_group_name_H-M 'P 4/m b m'
_symmetry_Int_Tables_number 127
_symmetry_space_group_name_Hall '-P 4 2ab'
loop_
_atom_site_label
_atom_site_type_symbol
_atom_site_fract_x
_atom_site_fract_y
_atom_site_fract_z
Er1 Er 0.1712 0.3288 0.0000
Co1 Co 0.0000 0.5000 0.5000
Co2 Co 0.0497 0.8189 0.5000
Si1 Si 0.1339 0.6339 0.0000
B1 B 0.0000 0.0000 0.0000
```

Main lines, in order of rising 2θ (10° ≤ 2θ ≤ 90°):
- (2 1 0), 2θ = 20.73°, intensity 78
- (2 0 1), 2θ = 37.17°, intensity 48
- (2 1 1), 2θ = 38.39°, intensity 72
- (4 1 0), 2θ = 38.75°, intensity 100
- (3 3 0), 2θ = 39.92°, intensity 90
- (3 1 1), 2θ = 44.02°, intensity 99
- (5 2 1), 2θ = 61.77°, intensity 28
- (6 2 1), 2θ = 70.71°, intensity 30
- (4 1 2), 2θ = 79.95°, intensity 31
- (3 3 2), 2θ = 80.70°, intensity 34

---

The following is a computed XRD peak list of FeCoB2. It was derived from a cell relaxed with GGA-PBE, using copper Kα.

Crystal structure
```
data_FeCoB2
_chemical_formula_sum 'Fe2 Co2 B4'
_cell_length_a 3.0079
_cell_length_b 3.9493
_cell_length_c 5.2835
_cell_angle_alpha 90.00
_cell_angle_beta 90.00
_cell_angle_gamma 90.00
_symmetry_space_group_name_H-M 'P m c 21'
_symmetry_Int_Tables_number 26
loop_
_symmetry_equiv_pos_as_xyz
'x,y,z'
'-x,-y,z+1/2'
'-x,y,z'
'x,-y,z+1/2'
loop_
_atom_site_label
_atom_site_type_symbol
_atom_site_fract_x
_atom_site_fract_y
_atom_site_fract_z
Fe1 Fe 0.0000 0.1232 0.0000
Co1 Co 0.5000 0.3720 0.3559
B1 B 0.0000 0.3774 0.6429
B2 B 0.5000 0.1347 0.7120
```

Main lines, in order of rising 2θ (10° ≤ 2θ ≤ 90°):
- (0 0 2), 2θ = 33.93°, intensity 29
- (1 1 0), 2θ = 37.59°, intensity 66
- (0 1 2), 2θ = 41.11°, intensity 36
- (1 1 1), 2θ = 41.42°, intensity 100
- (1 0 2), 2θ = 45.71°, intensity 68
- (0 2 1), 2θ = 49.26°, intensity 65
- (1 1 2), 2θ = 51.53°, intensity 34
- (0 1 3), 2θ = 57.28°, intensity 27
- (1 2 1), 2θ = 58.59°, intensity 26
- (1 2 3), 2θ = 79.60°, intensity 25

---

The following is a computed XRD peak list of Fe4CoB2P. It was derived from a cell relaxed with GGA-PBE, using copper Kα.

Crystal structure
```
data_Fe4CoB2P
_chemical_formula_sum 'Fe16 Co4 B8 P4'
_cell_length_a 5.3380
_cell_length_b 5.3380
_cell_length_c 10.5156
_cell_angle_alpha 90.00
_cell_angle_beta 90.00
_cell_angle_gamma 90.00
_symmetry_space_group_name_H-M 'I 4/m c m'
_symmetry_Int_Tables_number 140
_symmetry_space_group_name_Hall '-I 4 2c'
loop_
_atom_site_label
_atom_site_type_symbol
_atom_site_fract_x
_atom_site_fract_y
_atom_site_fract_z
Fe1 Fe 0.1693 0.3307 0.1406
Co1 Co 0.0000 0.0000 0.0000
B1 B 0.1213 0.3787 0.5000
P1 P 0.0000 0.0000 0.2500
```

Main lines, in order of rising 2θ (10° ≤ 2θ ≤ 90°):
- (0 0 4), 2θ = 34.11°, intensity 13
- (2 1 1), 2θ = 38.68°, intensity 63
- (1 1 4), 2θ = 41.88°, intensity 46
- (2 1 3), 2θ = 46.00°, intensity 100
- (2 2 0), 2θ = 48.22°, intensity 20
- (2 0 4), 2θ = 48.61°, intensity 67
- (3 1 0), 2θ = 54.35°, intensity 49
- (2 1 7), 2θ = 74.65°, intensity 21
- (4 1 3), 2θ = 78.81°, intensity 17
- (3 3 4), 2θ = 85.58°, intensity 25

---

The following is a computed XRD peak list of Fe4CoSiB2. It was derived from a cell relaxed with GGA-PBE, using copper Kα.

Crystal structure
```
data_Fe4CoSiB2
_chemical_formula_sum 'Fe16 Co4 Si4 B8'
_cell_length_a 5.4516
_cell_length_b 5.4516
_cell_length_c 10.3030
_cell_angle_alpha 90.00
_cell_angle_beta 90.00
_cell_angle_gamma 90.00
_symmetry_space_group_name_H-M 'I 4/m c m'
_symmetry_Int_Tables_number 140
_symmetry_space_group_name_Hall '-I 4 2c'
loop_
_atom_site_label
_atom_site_type_symbol
_atom_site_fract_x
_atom_site_fract_y
_atom_site_fract_z
Fe1 Fe 0.1656 0.3344 0.1375
Co1 Co 0.0000 0.0000 0.0000
Si1 Si 0.0000 0.0000 0.2500
B1 B 0.1225 0.3775 0.5000
```

Main lines, in order of rising 2θ (10° ≤ 2θ ≤ 90°):
- (0 0 4), 2θ = 34.83°, intensity 15
- (2 1 1), 2θ = 37.92°, intensity 73
- (1 1 4), 2θ = 42.20°, intensity 48
- (2 1 3), 2θ = 45.63°, intensity 100
- (2 2 0), 2θ = 47.15°, intensity 19
- (2 0 4), 2θ = 48.63°, intensity 63
- (3 1 0), 2θ = 53.13°, intensity 55
- (2 1 7), 2θ = 75.44°, intensity 20
- (4 1 3), 2θ = 77.33°, intensity 15
- (3 3 4), 2θ = 84.21°, intensity 27

---

The following is a computed XRD peak list of Tm2Fe5CoB2. It was derived from a cell relaxed with GGA-PBE, using copper Kα.

Crystal structure
```
data_Tm2Fe5CoB2
_chemical_formula_sum 'Tm4 Fe10 Co2 B4'
_cell_length_a 8.8729
_cell_length_b 8.8729
_cell_length_c 3.1053
_cell_angle_alpha 90.00
_cell_angle_beta 90.00
_cell_angle_gamma 90.00
_symmetry_space_group_name_H-M 'P 4/m b m'
_symmetry_Int_Tables_number 127
_symmetry_space_group_name_Hall '-P 4 2ab'
loop_
_atom_site_label
_atom_site_type_symbol
_atom_site_fract_x
_atom_site_fract_y
_atom_site_fract_z
Tm1 Tm 0.1756 0.3244 0.0000
Fe1 Fe 0.0000 0.5000 0.5000
Fe2 Fe 0.0661 0.7839 0.5000
Co1 Co 0.0000 0.0000 0.0000
B1 B 0.1201 0.6201 0.0000
```

Main lines, in order of rising 2θ (10° ≤ 2θ ≤ 90°):
- (2 1 0), 2θ = 22.41°, intensity 52
- (2 0 1), 2θ = 35.28°, intensity 18
- (2 1 1), 2θ = 36.75°, intensity 100
- (2 2 1), 2θ = 40.89°, intensity 30
- (4 1 0), 2θ = 41.98°, intensity 75
- (3 3 0), 2θ = 43.26°, intensity 25
- (3 1 1), 2θ = 43.47°, intensity 78
- (4 2 0), 2θ = 45.73°, intensity 17
- (5 4 1), 2θ = 75.07°, intensity 17
- (4 1 2), 2θ = 75.51°, intensity 26

---

The following is a computed XRD peak list of FeCoB2W. It was derived from a cell relaxed with GGA-PBE, using copper Kα.

Crystal structure
```
data_FeCoB2W
_chemical_formula_sum 'Fe1 Co1 B2 W1'
_cell_length_a 3.6892
_cell_length_b 3.6892
_cell_length_c 4.5206
_cell_angle_alpha 90.00
_cell_angle_beta 90.00
_cell_angle_gamma 90.00
_symmetry_space_group_name_H-M 'P 4/m m m'
_symmetry_Int_Tables_number 123
_symmetry_space_group_name_Hall '-P 4 2'
loop_
_atom_site_label
_atom_site_type_symbol
_atom_site_fract_x
_atom_site_fract_y
_atom_site_fract_z
Fe1 Fe 0.0000 0.0000 0.0000
Co1 Co 0.5000 0.5000 0.5000
B1 B 0.0000 0.5000 0.0000
W1 W 0.0000 0.0000 0.5000
```

Main lines, in order of rising 2θ (10° ≤ 2θ ≤ 90°):
- (0 0 1), 2θ = 19.64°, intensity 62
- (1 0 0), 2θ = 24.12°, intensity 90
- (1 1 0), 2θ = 34.38°, intensity 95
- (0 0 2), 2θ = 39.89°, intensity 100
- (1 0 2), 2θ = 47.16°, intensity 30
- (2 0 0), 2θ = 49.41°, intensity 41
- (1 1 2), 2θ = 53.66°, intensity 72
- (2 0 2), 2θ = 65.29°, intensity 34
- (2 2 0), 2θ = 72.45°, intensity 23
- (2 2 2), 2θ = 86.06°, intensity 34

---

The following is a computed XRD peak list of YFeCo3B. It was derived from a cell relaxed with GGA-PBE, using copper Kα.

Crystal structure
```
data_YFeCo3B
_chemical_formula_sum 'Y2 Fe2 Co6 B2'
_cell_length_a 5.0528
_cell_length_b 5.0528
_cell_length_c 6.7959
_cell_angle_alpha 90.00
_cell_angle_beta 90.00
_cell_angle_gamma 120.00
_symmetry_space_group_name_H-M 'P 6/m m m'
_symmetry_Int_Tables_number 191
_symmetry_space_group_name_Hall '-P 6 2'
loop_
_atom_site_label
_atom_site_type_symbol
_atom_site_fract_x
_atom_site_fract_y
_atom_site_fract_z
Y1 Y 0.0000 0.0000 0.0000
Y2 Y 0.0000 0.0000 0.5000
Fe1 Fe 0.3333 0.6667 0.0000
Co1 Co 0.0000 0.5000 0.2884
B1 B 0.3333 0.6667 0.5000
```

Main lines, in order of rising 2θ (10° ≤ 2θ ≤ 90°):
- (1 0 2), 2θ = 33.39°, intensity 65
- (1 1 0), 2θ = 35.53°, intensity 20
- (1 1 1), 2θ = 38.00°, intensity 16
- (0 0 3), 2θ = 39.79°, intensity 16
- (2 0 0), 2θ = 41.26°, intensity 84
- (1 1 2), 2θ = 44.70°, intensity 100
- (2 0 2), 2θ = 49.55°, intensity 18
- (2 1 2), 2θ = 62.45°, intensity 20
- (3 0 2), 2θ = 70.19°, intensity 38
- (2 2 0), 2θ = 75.22°, intensity 25

---

The following is a computed XRD peak list of Ga2Co6B. It was derived from a cell relaxed with GGA-PBE, using copper Kα.

Crystal structure
```
data_Ga2Co6B
_chemical_formula_sum 'Ga4 Co12 B2'
_cell_length_a 3.9978
_cell_length_b 6.5850
_cell_length_c 7.7754
_cell_angle_alpha 90.00
_cell_angle_beta 90.00
_cell_angle_gamma 90.00
_symmetry_space_group_name_H-M 'I m m m'
_symmetry_Int_Tables_number 71
_symmetry_space_group_name_Hall '-I 2 2'
loop_
_atom_site_label
_atom_site_type_symbol
_atom_site_fract_x
_atom_site_fract_y
_atom_site_fract_z
Ga1 Ga 0.0000 0.0000 0.1718
Co1 Co 0.0000 0.2889 0.3474
Co2 Co 0.0000 0.3339 0.0000
B1 B 0.0000 0.0000 0.5000
```

Main lines, in order of rising 2θ (10° ≤ 2θ ≤ 90°):
- (0 2 0), 2θ = 27.08°, intensity 13
- (1 1 2), 2θ = 34.96°, intensity 22
- (0 1 3), 2θ = 37.27°, intensity 73
- (1 0 3), 2θ = 41.52°, intensity 22
- (2 0 0), 2θ = 45.37°, intensity 53
- (1 3 0), 2θ = 47.24°, intensity 66
- (1 2 3), 2θ = 50.28°, intensity 100
- (2 1 3), 2θ = 60.12°, intensity 23
- (0 5 3), 2θ = 82.08°, intensity 11
- (3 2 3), 2θ = 87.48°, intensity 19